# Mg16ScAl12
Computed X-ray diffraction stick pattern, Cu Ka. Input: a DFT-relaxed cell (GGA-PBE, the Materials Project).
Neutral-atom scattering factors, no anomalous dispersion.

Crystal structure
abc: 9.1603 9.1603 9.0183
angles: 109.25 109.25 109.59
Fractional positions:
Mg 0.0000 0.0000 0.0000
Mg 0.0041 0.4075 0.0363
Mg 0.0049 0.0049 0.3532
Mg 0.0056 0.6875 0.7461
Mg 0.0089 0.6680 0.3578
Mg 0.2903 0.6068 0.9538
Mg 0.3219 0.7171 0.6666
Mg 0.3506 0.3506 0.7015
Mg 0.4013 0.6920 0.3485
Mg 0.4075 0.0041 0.0363
Mg 0.6046 0.6046 0.6313
Mg 0.6068 0.2903 0.9538
Mg 0.6680 0.0089 0.3578
Mg 0.6875 0.0056 0.7461
Mg 0.6920 0.4013 0.3485
Mg 0.7171 0.3219 0.6666
Sc 0.3208 0.3208 0.0725
Al 0.0057 0.3714 0.5331
Al 0.0094 0.1940 0.7223
Al 0.1840 0.8215 0.1630
Al 0.1922 0.3720 0.3489
Al 0.1940 0.0094 0.7223
Al 0.3714 0.0057 0.5331
Al 0.3720 0.1922 0.3489
Al 0.6338 0.6338 0.1658
Al 0.6412 0.8262 0.9848
Al 0.8215 0.1840 0.1630
Al 0.8210 0.8210 0.5310
Al 0.8262 0.6412 0.9848

Peak list (6 most intense, 2θ = 10–90°, low angle first)
- 35.95 deg, I 98
- 36.06 deg, I 100
- 36.18 deg, I 95
- 36.35 deg, I 70
- 36.43 deg, I 79
- 39.94 deg, I 66

=====

# Mg16ScAl12
Computed X-ray diffraction stick pattern, Cu Ka. Input: a DFT-relaxed cell (GGA-PBE, the Materials Project).
Neutral-atom scattering factors, no anomalous dispersion.

Crystal structure
abc: 9.1015 9.1015 9.1015
angles: 109.47 109.47 109.47
Fractional positions:
Mg 0.0000 0.0000 0.3498
Mg 0.0000 0.3180 0.6027
Mg 0.0000 0.3498 0.0000
Mg 0.0000 0.6027 0.3180
Mg 0.2847 0.6820 0.6820
Mg 0.3180 0.0000 0.6027
Mg 0.3180 0.6027 0.0000
Mg 0.3498 0.0000 0.0000
Mg 0.3973 0.3973 0.7153
Mg 0.3973 0.7153 0.3973
Mg 0.6027 0.0000 0.3180
Mg 0.6027 0.3180 0.0000
Mg 0.6502 0.6502 0.6502
Mg 0.6820 0.2847 0.6820
Mg 0.6820 0.6820 0.2847
Mg 0.7153 0.3973 0.3973
Sc 0.0000 0.0000 0.0000
Al 0.0000 0.6343 0.8149
Al 0.0000 0.8149 0.6343
Al 0.1806 0.3657 0.3657
Al 0.1851 0.1851 0.8194
Al 0.1851 0.8194 0.1851
Al 0.3657 0.1806 0.3657
Al 0.3657 0.3657 0.1806
Al 0.6343 0.0000 0.8149
Al 0.6343 0.8149 0.0000
Al 0.8149 0.0000 0.6343
Al 0.8149 0.6343 0.0000
Al 0.8194 0.1851 0.1851

Peak list (6 most intense, 2θ = 10–90°, low angle first)
- 36.27 deg, I 100
- 40.25 deg, I 26
- 42.12 deg, I 11
- 43.93 deg, I 12
- 65.24 deg, I 27
- 76.99 deg, I 8

=====

# Mg2Al2Se5
Computed X-ray diffraction stick pattern, Cu Ka. Input: a DFT-relaxed cell (GGA-PBE, the Materials Project).
Neutral-atom scattering factors, no anomalous dispersion.

Crystal structure
abc: 3.9177 3.9177 16.5000
angles: 90.00 90.00 120.00
Fractional positions:
Mg 0.3333 0.6667 0.0975
Mg 0.6667 0.3333 0.9025
Al 0.3333 0.6667 0.6764
Al 0.6667 0.3333 0.3236
Se 0.0000 0.0000 0.0000
Se 0.3333 0.6667 0.3885
Se 0.3333 0.6667 0.8165
Se 0.6667 0.3333 0.1835
Se 0.6667 0.3333 0.6115

Peak list (6 most intense, 2θ = 10–90°, low angle first)
- 26.83 deg, I 34
- 28.44 deg, I 94
- 30.97 deg, I 100
- 34.22 deg, I 58
- 46.35 deg, I 74
- 46.94 deg, I 80